# 1
Starting from a structure optimized by DFT (PBE), the X-ray powder pattern of BaSb2S4 was calculated for λ = 1.5418 Å (Cu Kα).
Peak positions follow from Bragg's law for the DFT cell and can differ from measured ones.

Top 10 peaks for 2θ from 10° to 90°, sorted by position:
| Position (°2θ) | I (rel.) |
| --- | --- |
| 23.6 | 1000 |
| 23.7 | 309 |
| 26.3 | 300 |
| 26.9 | 239 |
| 30.5 | 619 |
| 32.6 | 477 |
| 40.1 | 343 |
| 44.4 | 221 |
| 45.6 | 233 |
| 50.9 | 251 |

Crystal structure
```
BaSb2S4
1.0
2.0382 -6.6283 0.0000
2.0382 6.6283 0.0000
0.0000 0.0000 13.7460
Ba Sb S
2 4 8
direct
0.1090 0.8910 0.7500 Ba
0.8910 0.1090 0.2500 Ba
0.3662 0.6338 0.5681 Sb
0.3662 0.6338 0.9319 Sb
0.6338 0.3662 0.0681 Sb
0.6338 0.3662 0.4319 Sb
0.0000 0.0000 0.0000 S
0.0000 0.0000 0.5000 S
0.2653 0.7347 0.1106 S
0.2653 0.7347 0.3894 S
0.4339 0.5661 0.7500 S
0.5661 0.4339 0.2500 S
0.7347 0.2653 0.6106 S
0.7347 0.2653 0.8894 S
```


# 2
Starting from a structure optimized by DFT (PBE), the X-ray powder pattern of BaSi2SbS8 was calculated for λ = 1.5418 Å (Cu Kα).
Peak positions follow from Bragg's law for the DFT cell and can differ from measured ones.

Top 10 peaks for 2θ from 10° to 90°, sorted by position:
| Position (°2θ) | I (rel.) |
| --- | --- |
| 16.8 | 856 |
| 26.1 | 1000 |
| 29.3 | 474 |
| 31.0 | 404 |
| 35.6 | 873 |
| 39.6 | 354 |
| 44.0 | 171 |
| 50.0 | 349 |
| 50.7 | 424 |
| 51.9 | 376 |

Crystal structure
```
BaSi2SbS8
1.0
6.1051 0.0000 0.0000
-3.0525 5.2871 0.0000
0.0000 0.0000 8.9252
Ba Si Sb S
1 2 1 8
direct
0.0000 0.0000 0.0000 Ba
0.3333 0.6667 0.7351 Si
0.6667 0.3333 0.2649 Si
0.0000 0.0000 0.5000 Sb
0.0078 0.6770 0.3199 S
0.3230 0.3308 0.3199 S
0.3308 0.0078 0.6801 S
0.3333 0.6667 0.9720 S
0.6667 0.3333 0.0280 S
0.6692 0.9922 0.3199 S
0.6770 0.6692 0.6801 S
0.9922 0.3230 0.6801 S
```


# 3
Starting from a structure optimized by DFT (PBE), the X-ray powder pattern of Ba2SnSbS5 was calculated for λ = 1.5418 Å (Cu Kα).
Peak positions follow from Bragg's law for the DFT cell and can differ from measured ones.

Top 10 peaks for 2θ from 10° to 90°, sorted by position:
| Position (°2θ) | I (rel.) |
| --- | --- |
| 23.5 | 589 |
| 24.1 | 365 |
| 24.7 | 317 |
| 24.9 | 516 |
| 25.7 | 559 |
| 29.7 | 1000 |
| 30.2 | 642 |
| 34.8 | 587 |
| 40.2 | 424 |
| 47.1 | 334 |

Crystal structure
```
Ba2SnSbS5
1.0
2.2431 -9.1240 0.0000
2.2431 9.1240 0.0000
0.0000 0.0000 12.5064
Ba Sn Sb S
4 2 2 10
direct
0.1143 0.8857 0.5000 Ba
0.1288 0.8712 0.1202 Ba
0.8712 0.1288 0.6202 Ba
0.8857 0.1143 0.0000 Ba
0.4421 0.5579 0.2661 Sn
0.5579 0.4421 0.7661 Sn
0.2182 0.7818 0.8371 Sb
0.7818 0.2182 0.3371 Sb
0.0399 0.9601 0.8525 S
0.2859 0.7141 0.4692 S
0.3151 0.6849 0.1816 S
0.3530 0.6470 0.8130 S
0.4973 0.5027 0.5898 S
0.5027 0.4973 0.0898 S
0.6470 0.3530 0.3130 S
0.6849 0.3151 0.6816 S
0.7141 0.2859 0.9692 S
0.9601 0.0399 0.3525 S
```


# 4
Starting from a structure optimized by DFT (PBE), the X-ray powder pattern of Ba3Sc2S6 was calculated for λ = 1.5418 Å (Cu Kα).
Peak positions follow from Bragg's law for the DFT cell and can differ from measured ones.

Top 10 peaks for 2θ from 10° to 90°, sorted by position:
| Position (°2θ) | I (rel.) |
| --- | --- |
| 18.2 | 429 |
| 25.2 | 1000 |
| 25.4 | 728 |
| 30.7 | 275 |
| 33.3 | 920 |
| 36.2 | 764 |
| 44.6 | 430 |
| 52.1 | 254 |
| 58.8 | 238 |
| 63.2 | 275 |

Crystal structure
```
Ba3Sc2S6
1.0
-2.4830 2.4830 12.5643
2.4830 -2.4830 12.5643
2.4830 2.4830 -12.5643
Ba Sc S
3 2 6
direct
0.0000 0.0000 0.0000 Ba
0.1756 0.1756 0.0000 Ba
0.8244 0.8244 0.0000 Ba
0.3963 0.3963 0.0000 Sc
0.6037 0.6037 0.0000 Sc
0.0831 0.5831 0.5000 S
0.3011 0.3011 0.0000 S
0.4169 0.9169 0.5000 S
0.5831 0.0831 0.5000 S
0.6989 0.6989 0.0000 S
0.9169 0.4169 0.5000 S
```


# 5
Starting from a structure optimized by DFT (PBE), the X-ray powder pattern of Ba2ScS3 was calculated for λ = 1.5418 Å (Cu Kα).
Peak positions follow from Bragg's law for the DFT cell and can differ from measured ones.

Top 10 peaks for 2θ from 10° to 90°, sorted by position:
| Position (°2θ) | I (rel.) |
| --- | --- |
| 18.6 | 248 |
| 21.8 | 264 |
| 24.2 | 404 |
| 26.3 | 619 |
| 27.3 | 1000 |
| 33.0 | 296 |
| 35.2 | 566 |
| 36.0 | 336 |
| 43.3 | 349 |
| 45.2 | 285 |

Crystal structure
```
Ba2ScS3
1.0
-2.1608 2.4938 8.1541
2.1608 -2.4938 8.1541
2.1608 2.4938 -8.1541
Ba Sc S
2 1 3
direct
0.1474 0.1474 0.0000 Ba
0.8526 0.8526 0.0000 Ba
0.5000 0.5000 0.0000 Sc
0.0000 0.5000 0.5000 S
0.3425 0.3425 0.0000 S
0.6575 0.6575 0.0000 S
```


# 6
Starting from a structure optimized by DFT (PBE), the X-ray powder pattern of Ba2ScTaS6 was calculated for λ = 1.5418 Å (Cu Kα).
Peak positions follow from Bragg's law for the DFT cell and can differ from measured ones.

Top 10 peaks for 2θ from 10° to 90°, sorted by position:
| Position (°2θ) | I (rel.) |
| --- | --- |
| 15.5 | 250 |
| 22.9 | 320 |
| 24.9 | 253 |
| 25.5 | 1000 |
| 29.2 | 308 |
| 32.2 | 365 |
| 34.6 | 479 |
| 39.2 | 283 |
| 45.0 | 221 |
| 52.5 | 353 |

Crystal structure
```
Ba2ScTaS6
1.0
3.4868 2.0131 11.8110
-3.4868 2.0131 11.8110
0.0000 -4.0262 11.8110
Ba Sc Ta S
4 2 2 12
direct
0.1274 0.1274 0.1274 Ba
0.2927 0.2927 0.2927 Ba
0.7073 0.7073 0.7073 Ba
0.8726 0.8726 0.8726 Ba
0.4129 0.4129 0.4129 Sc
0.5871 0.5871 0.5871 Sc
0.0000 0.0000 0.0000 Ta
0.5000 0.5000 0.5000 Ta
0.1287 0.6242 0.6242 S
0.2030 0.2030 0.7137 S
0.2030 0.7137 0.2030 S
0.2863 0.7970 0.7970 S
0.3758 0.3758 0.8713 S
0.3758 0.8713 0.3758 S
0.6242 0.1287 0.6242 S
0.6242 0.6242 0.1287 S
0.7137 0.2030 0.2030 S
0.7970 0.2863 0.7970 S
0.7970 0.7970 0.2863 S
0.8713 0.3758 0.3758 S
```


# 7
Starting from a structure optimized by DFT (PBE), the X-ray powder pattern of Ba8Se3S4 was calculated for λ = 1.5418 Å (Cu Kα).
Peak positions follow from Bragg's law for the DFT cell and can differ from measured ones.

Top 10 peaks for 2θ from 10° to 90°, sorted by position:
| Position (°2θ) | I (rel.) |
| --- | --- |
| 23.5 | 420 |
| 27.2 | 1000 |
| 38.9 | 628 |
| 38.9 | 126 |
| 45.9 | 215 |
| 48.1 | 268 |
| 56.2 | 126 |
| 63.5 | 230 |
| 70.3 | 127 |
| 70.5 | 129 |

Crystal structure
```
Ba8Se3S4
1.0
6.5489 -6.5508 0.0000
6.5489 6.5508 0.0000
-6.5303 0.0000 6.5528
Ba Se S
8 3 4
direct
0.2417 0.2417 0.4896 Ba
0.2427 0.2427 0.9941 Ba
0.2453 0.7547 0.0000 Ba
0.2474 0.7526 0.5000 Ba
0.7526 0.2474 0.5000 Ba
0.7547 0.2453 0.0000 Ba
0.7573 0.7573 0.0059 Ba
0.7583 0.7583 0.5104 Ba
0.0000 0.5000 0.5000 Se
0.5000 0.0000 0.5000 Se
0.5000 0.5000 0.5000 Se
0.0000 0.0000 0.0000 S
0.0000 0.0000 0.5000 S
0.0000 0.5000 0.0000 S
0.5000 0.0000 0.0000 S
```


# 8
Starting from a structure optimized by DFT (PBE), the X-ray powder pattern of Ba7SeS5 was calculated for λ = 1.5418 Å (Cu Kα).
Peak positions follow from Bragg's law for the DFT cell and can differ from measured ones.

Top 10 peaks for 2θ from 10° to 90°, sorted by position:
| Position (°2θ) | I (rel.) |
| --- | --- |
| 23.9 | 235 |
| 24.3 | 423 |
| 25.9 | 1000 |
| 26.3 | 274 |
| 27.3 | 843 |
| 28.3 | 750 |
| 39.2 | 277 |
| 39.6 | 807 |
| 46.9 | 232 |
| 47.9 | 368 |

Crystal structure
```
Ba7SeS5
1.0
4.5521 0.0000 0.0000
0.0000 27.0777 0.0000
-2.2741 0.0000 7.5186
Ba Se S
14 2 10
direct
0.0420 0.2500 0.0854 Ba
0.1373 0.5353 0.2747 Ba
0.1373 0.9647 0.2747 Ba
0.3215 0.1756 0.6439 Ba
0.3215 0.3244 0.6439 Ba
0.4124 0.6038 0.8245 Ba
0.4124 0.8962 0.8245 Ba
0.5876 0.1038 0.1755 Ba
0.5876 0.3962 0.1755 Ba
0.6785 0.6756 0.3561 Ba
0.6785 0.8244 0.3561 Ba
0.8627 0.0353 0.7253 Ba
0.8627 0.4647 0.7253 Ba
0.9580 0.7500 0.9146 Ba
0.2915 0.7500 0.5823 Se
0.7085 0.2500 0.4177 Se
0.0441 0.6438 0.0874 S
0.0441 0.8562 0.0874 S
0.2265 0.0739 0.4532 S
0.2265 0.4261 0.4532 S
0.5000 0.0000 0.0000 S
0.5000 0.5000 0.0000 S
0.7735 0.5739 0.5468 S
0.7735 0.9261 0.5468 S
0.9559 0.1438 0.9126 S
0.9559 0.3562 0.9126 S
```